The following is a simulated powder diffractogram of VFe4N4. It was derived from the GGA-PBE geometry in the Materials Project, using a wavelength of 1.5418 Å.

Structural model:
```
VFe4N4
1.0
4.928 0.000 0.000
1.665 4.649 0.000
2.299 -0.046 7.322
V Fe N
2 8 8
direct
0.148 0.260 0.217
0.852 0.740 0.783
0.039 0.765 0.379
0.258 0.746 0.997
0.388 0.271 0.787
0.427 0.772 0.612
0.573 0.228 0.388
0.612 0.729 0.213
0.742 0.254 0.003
0.961 0.235 0.621
0.152 0.149 0.989
0.197 0.499 0.610
0.299 0.997 0.396
0.399 0.496 0.184
0.601 0.504 0.816
0.701 0.003 0.604
0.803 0.501 0.390
0.848 0.851 0.011
```

The 8 most intense peaks (5° ≤ 2θ ≤ 70°), by intensity:
- 38.8°, I 100
- 44.3°, I 51
- 44.6°, I 49
- 38.4°, I 48
- 37.6°, I 48
- 45.0°, I 48
- 65.8°, I 30
- 63.5°, I 15


The following is a simulated powder diffractogram of V8Fe3N8. It was derived from the GGA-PBE geometry in the Materials Project, using a wavelength of 1.5418 Å.

Structural model:
```
V8Fe3N8
1.0
7.974 -2.015 0.000
7.974 2.015 0.000
-1.536 0.000 5.710
V Fe N
8 3 8
direct
0.037 0.037 0.251
0.210 0.210 0.821
0.348 0.348 0.510
0.407 0.407 0.047
0.593 0.593 0.953
0.652 0.652 0.490
0.790 0.790 0.179
0.963 0.963 0.749
0.189 0.189 0.229
0.500 0.500 0.500
0.811 0.811 0.771
0.094 0.094 0.959
0.147 0.147 0.493
0.297 0.297 0.161
0.464 0.464 0.772
0.536 0.536 0.228
0.703 0.703 0.839
0.853 0.853 0.507
0.906 0.906 0.041
```

The 8 most intense peaks (5° ≤ 2θ ≤ 70°), by intensity:
- 45.0°, I 100
- 37.8°, I 55
- 40.4°, I 50
- 42.2°, I 37
- 36.7°, I 36
- 46.1°, I 34
- 36.9°, I 30
- 26.8°, I 27


The following is a simulated powder diffractogram of Fe3W4N8. It was derived from the GGA-PBE geometry in the Materials Project, using a wavelength of 1.5418 Å.

Structural model:
```
Fe3W4N8
1.0
10.700 -1.436 0.000
10.700 1.436 0.000
-1.038 0.000 4.891
Fe W N
3 4 8
direct
0.000 0.000 0.000
0.252 0.252 0.276
0.748 0.748 0.724
0.123 0.123 0.124
0.384 0.384 0.377
0.616 0.616 0.623
0.877 0.877 0.876
0.060 0.060 0.752
0.183 0.183 0.841
0.316 0.316 0.648
0.441 0.441 0.775
0.559 0.559 0.225
0.684 0.684 0.352
0.817 0.817 0.159
0.940 0.940 0.248
```

The 8 most intense peaks (5° ≤ 2θ ≤ 70°), by intensity:
- 16.9°, I 100
- 36.1°, I 80
- 35.9°, I 39
- 50.2°, I 37
- 34.3°, I 36
- 40.3°, I 35
- 51.0°, I 32
- 39.9°, I 25


The following is a simulated powder diffractogram of Fe4W2N. It was derived from the GGA-PBE geometry in the Materials Project, using a wavelength of 1.5418 Å.

Structural model:
```
Fe4W2N
1.0
6.662 -3.848 0.000
6.662 3.848 0.000
-4.396 0.000 6.328
Fe W N
16 8 4
direct
0.000 0.000 0.000
0.001 0.001 0.322
0.001 0.318 0.323
0.025 0.631 0.689
0.030 0.030 0.692
0.089 0.409 0.910
0.204 0.204 0.111
0.207 0.207 0.620
0.207 0.701 0.112
0.318 0.001 0.323
0.406 0.406 0.911
0.409 0.089 0.910
0.411 0.411 0.239
0.631 0.025 0.689
0.632 0.632 0.297
0.701 0.207 0.112
0.028 0.631 0.297
0.375 0.775 0.934
0.378 0.378 0.549
0.383 0.788 0.543
0.631 0.028 0.297
0.775 0.375 0.934
0.782 0.782 0.932
0.788 0.383 0.543
0.197 0.709 0.615
0.702 0.702 0.116
0.709 0.197 0.615
0.709 0.709 0.606
```

The 8 most intense peaks (5° ≤ 2θ ≤ 70°), by intensity:
- 43.1°, I 100
- 43.2°, I 71
- 47.2°, I 66
- 40.4°, I 38
- 40.6°, I 37
- 42.9°, I 34
- 35.8°, I 32
- 32.9°, I 32